Structure and simulated powder X-ray diffraction pattern of CdCl6 (a structure optimized by DFT (PBE); Cu Kα).

Cell and atoms:
```
data_CdCl6
_chemical_formula_sum 'Cd1 Cl6'
_cell_length_a 3.937
_cell_length_b 7.160
_cell_length_c 7.168
_cell_angle_alpha 115.62
_cell_angle_beta 97.65
_cell_angle_gamma 93.14
_symmetry_space_group_name_H-M 'P 1'
_symmetry_Int_Tables_number 1
loop_
_symmetry_equiv_pos_as_xyz
'x,y,z'
loop_
_atom_site_label
_atom_site_type_symbol
_atom_site_fract_x
_atom_site_fract_y
_atom_site_fract_z
Cd1 Cd 0.000 0.000 0.000
Cl1 Cl 0.109 0.416 0.745
Cl2 Cl 0.180 0.848 0.288
Cl3 Cl 0.430 0.768 0.770
Cl4 Cl 0.570 0.232 0.230
Cl5 Cl 0.820 0.152 0.712
Cl6 Cl 0.891 0.584 0.255
```

The 6 most intense peaks (2θ from 15° to 90°), in order of rising 2θ:
index  d/Å  I_rel
1 0 0  3.871  38
0 1 1  3.756  33
0 1 -2  3.546  54
0 2 -2  3.028  44
-1 1 1  2.971  100
1 2 0  2.329  54